Record 1
For Sm4ErTl3, a DFT-relaxed cell (GGA-PBE, Alexandria) gives the simulated PXRD pattern in this record (Cu Kα (λ = 1.5418 Å)).
Intensities are scaled so that the largest is 100.

Structure:
Cell lengths 5.4555, 5.4555, 27.9419 Å; angles 90.00, 90.00, 120.00 degrees
Space group R-3m (No. 166, hexagonal axes)
Inequivalent atoms, fractional coordinates:
Sm (0.0000, 0.0000, 0.1129) x6
Sm (0.0000, 0.0000, 0.3692) x6
Er (0.0000, 0.0000, 0.5000) x3
Tl (0.0000, 0.0000, 0.0000) x3
Tl (0.0000, 0.0000, 0.2340) x6

Most intense lines, 2θ from 5° to 70°, by intensity:
(hkl), d_spacing, Rel. int.
1 1 0, 2.728, 100.0
0 1 8, 2.809, 80.4
1 2 8, 1.590, 30.2
2 0 8, 1.957, 29.6
3 0 0, 1.575, 19.3
1 1 9, 2.049, 12.6
1 0 7, 3.049, 12.0
2 2 0, 1.364, 12.0

---

Record 2
For Sm6Er8Tl, a DFT-relaxed cell (GGA-PBE, Alexandria) gives the simulated PXRD pattern in this record (Cu Kα (λ = 1.5418 Å)).
Intensities are scaled so that the largest is 100.

Structure:
Cell lengths 9.2584, 9.2584, 6.6940 Å; angles 90.00, 90.00, 120.00 degrees
Space group P-3 (No. 147)
Inequivalent atoms, fractional coordinates:
Sm (0.0796, 0.3968, 0.1027) x6
Er (0.0173, 0.6861, 0.3930) x6
Er (0.3333, 0.6667, 0.6751) x2
Tl (0.0000, 0.0000, 0.0000) x1

Most intense lines, 2θ from 5° to 70°, by intensity:
(hkl), d_spacing, Rel. int.
1 1 2, 2.712, 100.0
3 0 0, 2.673, 82.4
3 -1 1, 2.761, 60.4
0 2 1, 3.439, 36.0
3 2 1, 1.774, 21.5
0 1 2, 3.089, 16.4
4 -2 2, 1.904, 16.2
2 -1 4, 1.574, 15.4